Diffraction record for K3Sm. The XRD peak list is computed, not measured: it uses a cell relaxed with GGA-PBE and Cu Kα (weighted mean of Kα1 and Kα2).

Crystal structure
```
data_K3Sm
_chemical_formula_sum 'K6 Sm2'
_cell_length_a 8.6488
_cell_length_b 8.6488
_cell_length_c 7.1648
_cell_angle_alpha 90.00
_cell_angle_beta 90.00
_cell_angle_gamma 120.00
_symmetry_space_group_name_H-M 'P 63/m m c'
_symmetry_Int_Tables_number 194
_symmetry_space_group_name_Hall '-P 6c 2c'
loop_
_atom_site_label
_atom_site_type_symbol
_atom_site_fract_x
_atom_site_fract_y
_atom_site_fract_z
K1 K 0.1714 0.3428 0.2500
Sm1 Sm 0.3333 0.6667 0.7500
```

Top 8 peaks for 2θ = 10–90°, in order of rising 2θ:
2theta	I_rel	h k l
11.8	19	1 0 0
17.1	41	1 0 1
20.5	19	1 1 0
23.8	23	2 0 0
24.9	27	0 0 2
26.9	100	2 0 1
45.0	23	2 0 3
49.2	23	2 2 2